# 1
Structure and computed powder diffraction line list of ErHfIr (a GGA-PBE-relaxed structure; Cu Kα, 1.54184 Å).
Neutral-atom scattering factors, no anomalous dispersion.

Peak list (10 most intense, 2θ from 10° to 90°, by intensity)
d/Å, Rel. int.
2.532, 100
2.785, 82
2.288, 41
2.298, 36
2.053, 35
2.027, 30
1.334, 28
1.621, 25
1.517, 24
1.363, 15

Atomic structure:
```
ErHfIr
1.0
4.5750 0.0000 0.0000
0.0000 6.0796 3.5102
0.0000 -6.0796 3.5102
Er Hf Ir
3 3 3
Direct
0.0000 0.0000 0.0000 Er
0.0000 0.4159 0.8321 Er
0.0000 0.8321 0.4159 Er
0.5000 0.1618 0.4165 Hf
0.5000 0.4165 0.1618 Hf
0.5000 0.6705 0.6705 Hf
0.0000 0.4151 0.4151 Ir
0.5000 0.0828 0.7499 Ir
0.5000 0.7499 0.0828 Ir
```

***

# 2
Structure and computed powder diffraction line list of ErHfMg (a GGA-PBE-relaxed structure; Cu Kα, 1.54184 Å).
Neutral-atom scattering factors, no anomalous dispersion.

Peak list (10 most intense, 2θ from 10° to 90°, by intensity)
d/Å, Rel. int.
2.734, 100
2.579, 96
2.264, 72
2.457, 52
2.693, 51
1.405, 28
1.560, 27
1.646, 25
1.694, 17
1.371, 15

Atomic structure:
```
ErHfMg
1.0
3.2865 0.0000 0.0000
1.6407 2.8535 0.0000
1.6289 0.9552 16.1563
Er Hf Mg
2 2 2
Direct
0.0778 0.0817 0.2589 Er
0.9222 0.9183 0.7411 Er
0.3084 0.3070 0.5777 Hf
0.6916 0.6930 0.4223 Hf
0.1973 0.1949 0.9192 Mg
0.8027 0.8051 0.0808 Mg
```